Starting from the PBE+U geometry in the Materials Project, the X-ray powder pattern of FeOF was calculated for Cu Kα.
No peak broadening, texture or thermal motion is included.

The 10 most intense peaks (10° ≤ 2θ ≤ 90°), in order of falling intensity:
d (Å)  I/Imax  hkl
3.349  100  2 0 -3
1.751  57  2 1 -6
2.601  57  0 1 3
1.408  19  0 1 9
2.279  19  2 1 3
1.674  16  4 0 -6
1.411  12  2 2 -3
2.118  10  4 0 -3
1.556  10  0 2 0
1.140  7  4 2 -6

Crystal structure
Cell: 9.4641 3.1117 14.2188 Å, 90.00 90.06 90.00°
Space group Pm (No. 6)
Asymmetric unit:
Fe (0.0000, 0.0000, 0.0000) [1 per cell]
Fe (0.0067, 0.0000, 0.6626) [1 per cell]
Fe (0.0214, 0.0000, 0.3367) [1 per cell]
Fe (0.2252, 0.5000, 0.1631) [1 per cell]
Fe (0.2346, 0.5000, 0.5048) [1 per cell]
Fe (0.2432, 0.5000, 0.8497) [1 per cell]
Fe (0.4916, 0.0000, 0.0312) [1 per cell]
Fe (0.5123, 0.0000, 0.3343) [1 per cell]
Fe (0.5292, 0.0000, 0.6790) [1 per cell]
Fe (0.7213, 0.5000, 0.5010) [1 per cell]
Fe (0.7325, 0.5000, 0.1736) [1 per cell]
Fe (0.7477, 0.5000, 0.8494) [1 per cell]
O (0.0962, 0.5000, 0.2746) [1 per cell]
O (0.0981, 0.5000, 0.6122) [1 per cell]
O (0.1007, 0.5000, 0.9376) [1 per cell]
O (0.1396, 0.0000, 0.1044) [1 per cell]
O (0.1518, 0.0000, 0.4448) [1 per cell]
O (0.3926, 0.5000, 0.0759) [1 per cell]
O (0.5946, 0.5000, 0.2751) [1 per cell]
O (0.5994, 0.5000, 0.6121) [1 per cell]
O (0.6454, 0.0000, 0.4411) [1 per cell]
O (0.6532, 0.0000, 0.7826) [1 per cell]
O (0.6570, 0.0000, 0.1095) [1 per cell]
O (0.8473, 0.0000, 0.9099) [1 per cell]
F (0.1530, 0.0000, 0.7760) [1 per cell]
F (0.3435, 0.0000, 0.2431) [1 per cell]
F (0.3472, 0.0000, 0.5752) [1 per cell]
F (0.3534, 0.0000, 0.9031) [1 per cell]
F (0.3932, 0.5000, 0.7446) [1 per cell]
F (0.3995, 0.5000, 0.4074) [1 per cell]
F (0.5860, 0.5000, 0.9475) [1 per cell]
F (0.8449, 0.0000, 0.5717) [1 per cell]
F (0.8463, 0.0000, 0.2420) [1 per cell]
F (0.8991, 0.5000, 0.4077) [1 per cell]
F (0.8999, 0.5000, 0.0764) [1 per cell]
F (0.9065, 0.5000, 0.7369) [1 per cell]

Starting from the PBE+U geometry in the Materials Project, the X-ray powder pattern of Li2Ti3FeO8 was calculated for Cu Kα.
No peak broadening, texture or thermal motion is included.

The 10 most intense peaks (10° ≤ 2θ ≤ 90°), in order of falling intensity:
d (Å)  I/Imax  hkl
4.916  100  1 1 -1
2.129  58  4 0 0
2.570  27  3 -1 1
2.564  19  1 3 -1
1.639  12  5 -1 1
1.508  12  4 0 4
1.505  11  4 4 0
1.503  11  4 0 -4
1.637  7  1 1 -5
1.441  6  3 -1 5

Crystal structure
Cell: 8.5140 8.5146 8.5172 Å, 89.79 89.81 89.94°
Space group P1 (No. 1)
Asymmetric unit:
Li (0.0000, 0.0000, 0.0000) [1 per cell]
Li (0.0000, 0.5003, 0.4994) [1 per cell]
Li (0.2492, 0.7497, 0.7503) [1 per cell]
Li (0.2517, 0.2487, 0.2483) [1 per cell]
Li (0.4978, 0.9970, 0.4984) [1 per cell]
Li (0.5011, 0.4980, 0.0011) [1 per cell]
Li (0.7494, 0.7491, 0.2500) [1 per cell]
Li (0.7520, 0.2510, 0.7507) [1 per cell]
Ti (0.1250, 0.8820, 0.3707) [1 per cell]
Ti (0.1256, 0.3788, 0.8707) [1 per cell]
Ti (0.1265, 0.1199, 0.6311) [1 per cell]
Ti (0.3693, 0.6227, 0.3791) [1 per cell]
Ti (0.3774, 0.8679, 0.1210) [1 per cell]
Ti (0.3793, 0.1263, 0.8741) [1 per cell]
Ti (0.6228, 0.1263, 0.1258) [1 per cell]
Ti (0.6242, 0.3712, 0.3759) [1 per cell]
Ti (0.6287, 0.6238, 0.6188) [1 per cell]
Ti (0.8688, 0.6251, 0.8780) [1 per cell]
Ti (0.8723, 0.8771, 0.6244) [1 per cell]
Ti (0.8807, 0.3729, 0.1280) [1 per cell]
Fe (0.1244, 0.6249, 0.1247) [1 per cell]
Fe (0.3746, 0.3746, 0.6248) [1 per cell]
Fe (0.6251, 0.8735, 0.8751) [1 per cell]
Fe (0.8761, 0.1243, 0.3746) [1 per cell]
O (0.1027, 0.3700, 0.1071) [1 per cell]
O (0.1094, 0.6017, 0.8763) [1 per cell]
O (0.1130, 0.8882, 0.6128) [1 per cell]
O (0.1253, 0.3519, 0.6418) [1 per cell]
O (0.1264, 0.1081, 0.3975) [1 per cell]
O (0.1372, 0.1357, 0.8607) [1 per cell]
O (0.1420, 0.8775, 0.1478) [1 per cell]
O (0.1473, 0.6397, 0.3731) [1 per cell]
O (0.3523, 0.3557, 0.8788) [1 per cell]
O (0.3581, 0.1231, 0.6465) [1 per cell]
O (0.3615, 0.8608, 0.3617) [1 per cell]
O (0.3709, 0.8927, 0.8975) [1 per cell]
O (0.3797, 0.6464, 0.1424) [1 per cell]
O (0.3893, 0.1126, 0.1110) [1 per cell]
O (0.3938, 0.3969, 0.3709) [1 per cell]
O (0.3975, 0.6249, 0.6078) [1 per cell]
O (0.6045, 0.1248, 0.8912) [1 per cell]
O (0.6086, 0.8972, 0.1248) [1 per cell]
O (0.6139, 0.6117, 0.3891) [1 per cell]
O (0.6236, 0.1451, 0.3584) [1 per cell]
O (0.6252, 0.3911, 0.6034) [1 per cell]
O (0.6369, 0.3602, 0.1384) [1 per cell]
O (0.6414, 0.6240, 0.8519) [1 per cell]
O (0.6465, 0.8572, 0.6236) [1 per cell]
O (0.8522, 0.1408, 0.1258) [1 per cell]
O (0.8569, 0.3785, 0.3521) [1 per cell]
O (0.8614, 0.6364, 0.6368) [1 per cell]
O (0.8713, 0.6071, 0.1015) [1 per cell]
O (0.8794, 0.8507, 0.8559) [1 per cell]
O (0.8884, 0.3875, 0.8876) [1 per cell]
O (0.8921, 0.1029, 0.6249) [1 per cell]
O (0.8987, 0.8699, 0.3937) [1 per cell]

Starting from the PBE+U geometry in the Materials Project, the X-ray powder pattern of Li3NbNi3O8 was calculated for Cu Kα.
No peak broadening, texture or thermal motion is included.

The 10 most intense peaks (10° ≤ 2θ ≤ 90°), in order of falling intensity:
d (Å)  I/Imax  hkl
4.876  100  0 0 1
2.078  40  2 2 -2
2.511  30  2 2 -1
2.156  22  4 0 0
2.425  17  4 0 -2
2.576  14  4 0 -1
1.492  12  6 2 -2
1.500  12  2 2 2
1.942  10  2 2 1
1.604  9  2 2 -3

Crystal structure
Cell: 10.4054 5.8716 5.8827 Å, 90.00 124.01 90.00°
Space group C2/m (No. 12)
Asymmetric unit:
Li (0.0000, 0.0000, 0.0000) [2 per cell]
Li (0.2500, 0.2500, 0.0000) [4 per cell]
Nb (0.0000, 0.5000, 0.5000) [2 per cell]
Ni (0.0000, 0.0000, 0.5000) [2 per cell]
Ni (0.2500, 0.2500, 0.5000) [4 per cell]
O (0.0014, 0.2354, 0.2766) [8 per cell]
O (0.2198, 0.0000, 0.7070) [4 per cell]
O (0.2322, 0.5000, 0.7326) [4 per cell]

Starting from the PBE+U geometry in the Materials Project, the X-ray powder pattern of Fe3B7BrO13 was calculated for Cu Kα.
No peak broadening, texture or thermal motion is included.

The 10 most intense peaks (10° ≤ 2θ ≤ 90°), in order of falling intensity:
d (Å)  I/Imax  hkl
3.070  100  4 0 0
2.746  79  4 2 0
2.171  61  4 4 0
1.773  31  4 4 4
1.373  31  8 4 0
1.253  28  8 4 4
1.489  25  8 2 0
2.076  23  5 3 1
1.852  17  6 2 2
1.703  16  6 4 0

Crystal structure
Cell: 12.2815 12.2815 12.2815 Å, 90.00 90.00 90.00°
Space group F-43c (No. 219)
Asymmetric unit:
Fe (0.0000, 0.0000, 0.2500) [24 per cell]
B (0.0000, 0.2500, 0.2500) [24 per cell]
B (0.1705, 0.1705, 0.1705) [32 per cell]
Br (0.0000, 0.0000, 0.0000) [8 per cell]
O (0.0702, 0.1547, 0.2295) [96 per cell]
O (0.2500, 0.2500, 0.2500) [8 per cell]

Starting from the PBE+U geometry in the Materials Project, the X-ray powder pattern of Mo2P3O12 was calculated for Cu Kα.
No peak broadening, texture or thermal motion is included.

The 10 most intense peaks (10° ≤ 2θ ≤ 90°), in order of falling intensity:
d (Å)  I/Imax  hkl
4.522  100  1 1 2
4.386  69  2 1 1
3.787  67  -1 1 1
3.148  66  0 2 2
6.297  51  1 1 0
2.852  49  1 -1 2
2.532  26  3 3 2
2.555  18  3 1 0
1.770  15  3 1 -2
1.657  13  4 -1 1

Crystal structure
Cell: 8.7606 8.7774 9.0405 Å, 61.18 61.06 60.08°
Space group P1 (No. 1)
Asymmetric unit:
Mo (0.0000, 0.0000, 0.0000) [1 per cell]
Mo (0.2085, 0.2113, 0.3609) [1 per cell]
Mo (0.4964, 0.5020, 0.4970) [1 per cell]
Mo (0.7146, 0.7115, 0.8573) [1 per cell]
P (0.1075, 0.8219, 0.6771) [1 per cell]
P (0.3195, 0.6093, 0.1791) [1 per cell]
P (0.3896, 0.1076, 0.6790) [1 per cell]
P (0.6093, 0.8892, 0.1778) [1 per cell]
P (0.8184, 0.3894, 0.6785) [1 per cell]
P (0.8855, 0.3194, 0.1799) [1 per cell]
O (0.0526, 0.2968, 0.2132) [1 per cell]
O (0.0800, 0.8529, 0.8439) [1 per cell]
O (0.1122, 0.9931, 0.5136) [1 per cell]
O (0.1413, 0.7840, 0.1457) [1 per cell]
O (0.2222, 0.0861, 0.8518) [1 per cell]
O (0.2957, 0.6581, 0.6457) [1 per cell]
O (0.2980, 0.4389, 0.1999) [1 per cell]
O (0.3339, 0.5998, 0.3474) [1 per cell]
O (0.3530, 0.1277, 0.5202) [1 per cell]
O (0.4084, 0.2938, 0.6410) [1 per cell]
O (0.4326, 0.0566, 0.2100) [1 per cell]
O (0.4822, 0.6493, 0.0133) [1 per cell]
O (0.5708, 0.9509, 0.6954) [1 per cell]
O (0.5921, 0.7106, 0.3414) [1 per cell]
O (0.6403, 0.8640, 0.0080) [1 per cell]
O (0.6489, 0.3998, 0.6573) [1 per cell]
O (0.7071, 0.3522, 0.3416) [1 per cell]
O (0.7713, 0.5687, 0.7063) [1 per cell]
O (0.7748, 0.9239, 0.1588) [1 per cell]
O (0.8576, 0.2180, 0.8462) [1 per cell]
O (0.8664, 0.4792, 0.0098) [1 per cell]
O (0.9135, 0.1402, 0.1610) [1 per cell]
O (0.9510, 0.7664, 0.7099) [1 per cell]
O (0.9914, 0.3690, 0.5141) [1 per cell]

Starting from the PBE+U geometry in the Materials Project, the X-ray powder pattern of EuFeGe2O7 was calculated for Cu Kα.
No peak broadening, texture or thermal motion is included.

The 10 most intense peaks (10° ≤ 2θ ≤ 90°), in order of falling intensity:
d (Å)  I/Imax  hkl
3.284  100  2 0 0
3.039  52  1 2 -1
2.912  29  0 0 4
2.962  24  2 0 -4
2.748  24  1 2 1
2.531  19  0 2 3
5.810  19  0 0 2
1.927  17  3 2 -1
1.488  16  0 2 7
2.055  15  1 2 -5

Crystal structure
Cell: 7.4080 6.6741 13.1328 Å, 90.00 117.52 90.00°
Space group P2_1/c (No. 14)
Asymmetric unit:
Eu (0.2463, 0.1449, 0.4753) [4 per cell]
Fe (0.2116, 0.1006, 0.7302) [4 per cell]
Ge (0.2140, 0.6577, 0.4568) [4 per cell]
Ge (0.2997, 0.5896, 0.7190) [4 per cell]
O (0.0139, 0.6625, 0.9218) [4 per cell]
O (0.1556, 0.6870, 0.1869) [4 per cell]
O (0.2033, 0.0509, 0.8723) [4 per cell]
O (0.2227, 0.1098, 0.2791) [4 per cell]
O (0.2527, 0.5032, 0.5773) [4 per cell]
O (0.4090, 0.6751, 0.9785) [4 per cell]
O (0.4347, 0.1262, 0.6946) [4 per cell]